1.
Na2Ca4ZrNbSi4O17F: computed XRD peak list (Cu Kα X-rays), based on DFT lattice parameters and positions (GGA-PBE).
Intensities are scaled so that the largest is 100.

The 10 most intense peaks (10 to 80 degrees two-theta), by intensity:
- 30.87°, rel. 100.0
- 29.41°, rel. 93.5
- 29.68°, rel. 88.3
- 26.97°, rel. 58.5
- 30.94°, rel. 55.5
- 19.03°, rel. 36.7
- 21.22°, rel. 36.3
- 15.24°, rel. 36.3
- 49.03°, rel. 35.2
- 59.22°, rel. 33.2

Atomic structure:
```
Na2Ca4ZrNbSi4O17F
1.0
7.432 0.000 0.000
0.000 10.462 0.000
-3.619 0.000 10.402
Na Ca Zr Nb Si O F
4 8 2 2 8 34 2
direct
0.073 0.000 0.374
0.181 0.147 0.138
0.819 0.647 0.862
0.927 0.500 0.626
0.042 0.347 0.341
0.195 0.763 0.151
0.301 0.642 0.867
0.452 0.878 0.650
0.548 0.378 0.350
0.699 0.142 0.133
0.805 0.263 0.849
0.958 0.847 0.659
0.308 0.259 0.850
0.692 0.759 0.150
0.411 0.511 0.617
0.589 0.011 0.383
0.047 0.695 0.429
0.130 0.444 0.066
0.303 0.944 0.931
0.381 0.190 0.577
0.619 0.690 0.423
0.697 0.444 0.069
0.870 0.944 0.934
0.953 0.195 0.571
0.018 0.668 0.750
0.021 0.205 0.729
0.108 0.926 0.972
0.148 0.821 0.504
0.149 0.168 0.535
0.159 0.338 0.960
0.170 0.561 0.482
0.170 0.588 0.029
0.237 0.400 0.213
0.271 0.905 0.784
0.298 0.427 0.730
0.374 0.092 0.966
0.407 0.329 0.515
0.438 0.834 0.027
0.454 0.066 0.516
0.472 0.189 0.734
0.475 0.659 0.712
0.525 0.159 0.288
0.528 0.689 0.266
0.546 0.566 0.484
0.562 0.334 0.973
0.593 0.829 0.485
0.626 0.592 0.034
0.702 0.927 0.270
0.729 0.405 0.216
0.763 0.900 0.787
0.830 0.061 0.518
0.830 0.088 0.971
0.841 0.838 0.040
0.851 0.668 0.465
0.852 0.321 0.496
0.892 0.426 0.028
0.979 0.705 0.271
0.982 0.168 0.250
0.311 0.942 0.273
0.689 0.442 0.727
```



2.
Zr2TcRu: computed XRD peak list (Cu Kα X-rays), based on DFT lattice parameters and positions (GGA-PBE).
Intensities are scaled so that the largest is 100.

The 3 most intense peaks (10 to 80 degrees two-theta), by intensity:
- 38.73°, rel. 100.0
- 70.10°, rel. 33.2
- 55.93°, rel. 16.7

Atomic structure:
```
Zr2TcRu
1.0
0.000 3.288 3.288
3.288 0.000 3.288
3.288 3.288 0.000
Zr Tc Ru
2 1 1
direct
0.250 0.250 0.250
0.750 0.750 0.750
0.000 0.000 0.000
0.500 0.500 0.500
```



3.
Li2Cu4S3: computed XRD peak list (Cu Kα X-rays), based on DFT lattice parameters and positions (GGA-PBE).
Intensities are scaled so that the largest is 100.

The 10 most intense peaks (10 to 80 degrees two-theta), by intensity:
- 12.59°, rel. 100.0
- 39.89°, rel. 32.3
- 47.90°, rel. 31.8
- 43.87°, rel. 20.5
- 18.90°, rel. 15.3
- 25.76°, rel. 13.9
- 43.63°, rel. 13.2
- 37.23°, rel. 11.7
- 39.07°, rel. 11.6
- 18.67°, rel. 10.9

Atomic structure:
```
Li2Cu4S3
1.0
7.420 -1.899 0.000
7.420 1.899 0.000
-3.203 0.000 9.506
Li Cu S
4 8 6
direct
0.165 0.165 0.349
0.308 0.308 0.148
0.692 0.692 0.852
0.835 0.835 0.651
0.101 0.101 0.014
0.101 0.101 0.599
0.469 0.469 0.865
0.485 0.485 0.618
0.515 0.515 0.382
0.531 0.531 0.135
0.899 0.899 0.401
0.899 0.899 0.986
0.030 0.030 0.775
0.318 0.318 0.878
0.338 0.338 0.457
0.662 0.662 0.543
0.682 0.682 0.122
0.970 0.970 0.225
```



4.
SrCa2Sc6O12: computed XRD peak list (Cu Kα X-rays), based on DFT lattice parameters and positions (GGA-PBE).
Intensities are scaled so that the largest is 100.

The 10 most intense peaks (10 to 80 degrees two-theta), by intensity:
- 31.93°, rel. 100.0
- 40.03°, rel. 49.8
- 33.60°, rel. 49.3
- 47.04°, rel. 44.9
- 57.98°, rel. 35.0
- 56.90°, rel. 23.5
- 29.94°, rel. 17.0
- 48.33°, rel. 16.7
- 38.61°, rel. 12.6
- 66.75°, rel. 12.5

Atomic structure:
```
SrCa2Sc6O12
1.0
9.709 0.000 0.000
-4.854 8.408 0.000
0.000 0.000 3.192
Sr Ca Sc O
1 2 6 12
direct
0.000 0.000 0.000
0.333 0.667 0.249
0.667 0.333 0.751
0.002 0.652 0.255
0.348 0.350 0.255
0.350 0.002 0.745
0.650 0.998 0.255
0.652 0.650 0.745
0.998 0.348 0.745
0.107 0.298 0.246
0.128 0.602 0.750
0.191 0.893 0.246
0.298 0.191 0.754
0.398 0.526 0.750
0.474 0.872 0.750
0.526 0.128 0.250
0.602 0.474 0.250
0.702 0.809 0.246
0.809 0.107 0.754
0.872 0.398 0.250
0.893 0.702 0.754
```



5.
Li2GeTeO6: computed XRD peak list (Cu Kα X-rays), based on DFT lattice parameters and positions (GGA-PBE).
Intensities are scaled so that the largest is 100.

The 10 most intense peaks (10 to 80 degrees two-theta), by intensity:
- 18.19°, rel. 100.0
- 40.02°, rel. 72.3
- 21.09°, rel. 67.0
- 51.98°, rel. 51.5
- 23.60°, rel. 41.9
- 35.33°, rel. 34.3
- 31.81°, rel. 31.8
- 48.24°, rel. 21.7
- 61.20°, rel. 18.1
- 63.42°, rel. 17.6

Atomic structure:
```
Li2GeTeO6
1.0
2.540 1.467 4.877
-2.540 1.467 4.877
0.000 -2.933 4.877
Li Ge Te O
2 1 1 6
direct
0.000 0.000 0.000
0.265 0.265 0.265
0.792 0.792 0.792
0.472 0.472 0.472
0.065 0.427 0.681
0.191 0.847 0.581
0.427 0.681 0.065
0.581 0.191 0.847
0.681 0.065 0.427
0.847 0.581 0.191
```



6.
TmP2O2: computed XRD peak list (Cu Kα X-rays), based on DFT lattice parameters and positions (GGA-PBE).
Intensities are scaled so that the largest is 100.

The 10 most intense peaks (10 to 80 degrees two-theta), by intensity:
- 10.96°, rel. 100.0
- 22.02°, rel. 23.6
- 26.24°, rel. 18.8
- 21.53°, rel. 18.0
- 43.86°, rel. 13.6
- 40.94°, rel. 12.3
- 34.18°, rel. 10.4
- 35.79°, rel. 7.5
- 47.72°, rel. 7.0
- 37.44°, rel. 6.3

Atomic structure:
```
TmP2O2
1.0
-4.804 4.804 7.443
4.804 -4.804 7.443
4.804 4.804 -7.443
Tm P O
4 8 8
direct
0.000 0.000 0.000
0.000 0.000 0.500
0.000 0.500 0.000
0.500 0.000 0.500
0.071 0.181 0.890
0.181 0.071 0.390
0.181 0.791 0.110
0.209 0.819 0.390
0.791 0.181 0.610
0.819 0.209 0.890
0.819 0.929 0.610
0.929 0.819 0.110
0.143 0.187 0.544
0.143 0.599 0.956
0.187 0.143 0.044
0.401 0.857 0.544
0.599 0.143 0.456
0.813 0.857 0.956
0.857 0.401 0.044
0.857 0.813 0.456
```



7.
Ca5B3N6: computed XRD peak list (Cu Kα X-rays), based on DFT lattice parameters and positions (GGA-PBE).
Intensities are scaled so that the largest is 100.

The 10 most intense peaks (10 to 80 degrees two-theta), by intensity:
- 34.30°, rel. 100.0
- 49.29°, rel. 24.4
- 61.42°, rel. 24.4
- 16.95°, rel. 17.5
- 42.34°, rel. 16.4
- 38.49°, rel. 15.6
- 72.27°, rel. 11.0
- 24.07°, rel. 9.2
- 55.57°, rel. 8.6
- 52.50°, rel. 5.7

Atomic structure:
```
Ca5B3N6
1.0
-3.698 3.698 3.698
3.698 -3.698 3.698
3.698 3.698 -3.698
Ca B N
5 3 6
direct
0.000 0.000 0.000
0.000 0.000 0.500
0.000 0.500 0.000
0.500 0.000 0.000
0.500 0.500 0.500
0.000 0.500 0.500
0.500 0.000 0.500
0.500 0.500 0.000
0.000 0.318 0.318
0.000 0.682 0.682
0.318 0.000 0.318
0.318 0.318 0.000
0.682 0.000 0.682
0.682 0.682 0.000
```



8.
Mg6ZrZn: computed XRD peak list (Cu Kα X-rays), based on DFT lattice parameters and positions (GGA-PBE).
Intensities are scaled so that the largest is 100.

The 10 most intense peaks (10 to 80 degrees two-theta), by intensity:
- 37.65°, rel. 100.0
- 37.04°, rel. 70.8
- 16.24°, rel. 67.9
- 36.32°, rel. 42.3
- 32.82°, rel. 38.5
- 33.39°, rel. 24.6
- 70.15°, rel. 23.4
- 49.76°, rel. 23.0
- 15.91°, rel. 20.6
- 71.77°, rel. 18.5

Atomic structure:
```
Mg6ZrZn
1.0
4.947 0.000 0.000
0.000 3.130 5.571
0.000 -3.130 5.571
Mg Zr Zn
6 1 1
direct
0.000 0.000 0.000
0.000 0.508 0.999
0.000 0.999 0.508
0.500 0.161 0.161
0.500 0.168 0.660
0.500 0.660 0.168
0.000 0.510 0.510
0.500 0.650 0.650
```